For K2VCuS4, DFT lattice parameters and positions (PBE) gives the computed powder X-ray diffraction pattern in this record (Cu Kα (λ = 1.5418 Å)).
Intensities are scaled so that the largest is 100.

Structure:
abc: 5.429 7.099 11.814
angles: 84.96 76.72 67.52
Space group P1 (No. 1)
Asymmetric unit:
1 K 0.000 0.000 0.000 x1
2 K 0.123 0.496 0.783 x1
3 K 0.375 0.991 0.286 x1
4 K 0.756 0.502 0.500 x1
5 V 0.186 0.991 0.648 x1
6 V 0.941 0.499 0.141 x1
7 Cu 0.435 0.501 0.146 x1
8 Cu 0.692 0.996 0.640 x1
9 S 0.006 0.693 0.253 x1
10 S 0.106 0.796 0.533 x1
11 S 0.326 0.295 0.036 x1
12 S 0.383 0.182 0.534 x1
13 S 0.463 0.795 0.755 x1
14 S 0.657 0.696 0.036 x1
15 S 0.745 0.296 0.254 x1
16 S 0.811 0.183 0.754 x1

Main lines, low angle first (2θ = 5–70°):
2θ 15.41, I 80, (0 0 2)
2θ 15.55, I 100, (0 1 -1)
2θ 26.94, I 73, (0 1 -3)
2θ 28.68, I 94, (1 2 -1)
2θ 32.72, I 43, (1 2 -2)
2θ 35.80, I 29, (2 2 1)
2θ 40.73, I 49, (2 1 4)
2θ 44.01, I 26, (2 -1 2)
2θ 47.89, I 27, (0 3 -3)
2θ 53.84, I 30, (2 -2 1)